[1]
Diffraction record for Er8Ir. The powder X-ray diffraction pattern is simulated, not measured: it uses the PBE geometry in OQMD and Cu Kα.
No peak broadening, texture or thermal motion is included.

Lattice parameters (Å, degrees): 8.9411 8.9411 3.6706 90.00 90.00 120.00
Space group P-62m (No. 189)
Inequivalent atoms, fractional coordinates:
Er 0.0000 0.2406 0.0000 [3 per cell]
Er 0.0000 0.6161 0.5000 [3 per cell]
Er 0.3333 0.6667 0.0000 [2 per cell]
Ir 0.0000 0.0000 0.5000 [1 per cell]

Top 10 peaks for 2θ = 10–80°, in order of falling intensity:
2theta  d (Å)  I_rel
31.5  2.837  1000
33.6  2.664  816
34.8  2.581  700
30.5  2.927  643
39.4  2.288  628
57.6  1.599  436
62.1  1.496  265
49.7  1.835  202
59.4  1.555  196
54.3  1.690  161

[2]
Diffraction record for ErIr2. The powder X-ray diffraction pattern is simulated, not measured: it uses the PBE geometry in OQMD and Cu Kα.
No peak broadening, texture or thermal motion is included.

Lattice parameters (Å, degrees): 7.5155 7.5155 7.5155 90.00 90.00 90.00
Space group Fd-3m (No. 227, origin choice 2)
Inequivalent atoms, fractional coordinates:
Er 0.1250 0.1250 0.1250 [8 per cell]
Ir 0.0000 0.0000 0.5000 [16 per cell]

Top 10 peaks for 2θ = 10–80°, in order of falling intensity:
2theta  d (Å)  I_rel
39.8  2.266  1000
41.6  2.170  449
64.4  1.446  327
70.9  1.329  292
33.7  2.657  228
20.5  4.339  98
60.3  1.534  87
48.4  1.879  70
53.1  1.724  25
74.7  1.270  18

[3]
Diffraction record for La2ErMg3Ir2Pt. The powder X-ray diffraction pattern is simulated, not measured: it uses the PBE geometry in OQMD and Cu Kα.
No peak broadening, texture or thermal motion is included.

Lattice parameters (Å, degrees): 4.1077 12.9652 7.4308 90.00 90.00 90.00
Space group Amm2 (No. 38)
Inequivalent atoms, fractional coordinates:
La 0.0000 0.2100 0.0000 [4 per cell]
Er 0.0000 0.0000 0.6224 [2 per cell]
Mg 0.5000 0.0000 0.9635 [2 per cell]
Mg 0.5000 0.1184 0.3358 [4 per cell]
Ir 0.5000 0.1605 0.7106 [4 per cell]
Pt 0.0000 0.0000 0.2210 [2 per cell]

Top 10 peaks for 2θ = 10–80°, in order of falling intensity:
2theta  d (Å)  I_rel
35.4  2.536  1000
35.3  2.545  672
32.4  2.764  663
23.8  3.736  564
25.7  3.466  462
42.0  2.149  376
44.1  2.054  364
43.1  2.101  343
50.8  1.799  308
32.5  2.755  286

[4]
Diffraction record for Er5Lu2Ir2S2. The powder X-ray diffraction pattern is simulated, not measured: it uses the PBE geometry in OQMD and Cu Kα.
No peak broadening, texture or thermal motion is included.

Lattice parameters (Å, degrees): 3.8480 14.6790 8.9897 90.00 90.00 90.00
Space group Imm2 (No. 44)
Inequivalent atoms, fractional coordinates:
Er 0.0000 0.0000 0.0000 [2 per cell]
Er 0.0000 0.1202 0.5891 [4 per cell]
Er 0.0000 0.3628 0.7482 [4 per cell]
Lu 0.0000 0.3188 0.3743 [4 per cell]
Ir 0.0000 0.2388 0.0734 [4 per cell]
S 0.0000 0.0000 0.3410 [2 per cell]
S 0.0000 0.5000 0.2488 [2 per cell]

Top 10 peaks for 2θ = 10–80°, in order of falling intensity:
2theta  d (Å)  I_rel
35.2  2.547  1000
31.2  2.867  502
12.1  7.340  439
35.8  2.509  382
40.1  2.250  323
35.1  2.555  296
47.2  1.924  296
32.1  2.791  294
38.1  2.364  248
42.0  2.149  225